No. 1
SmHo4P5: computed powder X-ray diffraction pattern (Cu Ka), based on DFT lattice parameters and positions (GGA-PBE).
Neutral-atom scattering factors, no anomalous dispersion.

Largest 10 diffraction maxima, in order of rising 2θ, 15 to 90 degrees two-theta:
two_theta  I/Imax
27.22  87.3
31.53  100.0
45.19  73.1
53.56  42.6
56.15  25.5
65.83  11.9
72.62  17.2
74.82  32.9
83.44  25.0
89.80  13.8

Crystal structure
a b c (Å): 6.950 6.950 6.950
angles (deg): 99.60 99.60 131.79
Fractional coordinates of all 10 atoms:
Sm (0.000, 0.000, 0.000)
Ho (0.200, 0.399, 0.599)
Ho (0.399, 0.800, 0.199)
Ho (0.601, 0.200, 0.801)
Ho (0.800, 0.601, 0.401)
P (0.101, 0.696, 0.798)
P (0.304, 0.101, 0.405)
P (0.500, 0.500, 0.000)
P (0.696, 0.899, 0.595)
P (0.899, 0.304, 0.202)

=====

No. 2
CeHoZr: computed powder X-ray diffraction pattern (Cu Ka), based on DFT lattice parameters and positions (GGA-PBE).
Neutral-atom scattering factors, no anomalous dispersion.

Largest 10 diffraction maxima, in order of rising 2θ, 15 to 90 degrees two-theta:
two_theta  I/Imax
29.45  8.3
32.47  100.0
36.37  16.2
38.29  33.3
53.84  20.7
55.27  11.4
63.00  10.2
65.58  26.0
67.98  10.2
88.64  8.2

Crystal structure
a b c (Å): 3.324 3.324 14.819
angles (deg): 90.00 90.00 90.00
Fractional coordinates of all 6 atoms:
Ce (0.250, 0.250, 0.235)
Ce (0.750, 0.750, 0.765)
Ho (0.250, 0.250, 0.589)
Ho (0.750, 0.750, 0.411)
Zr (0.250, 0.250, 0.927)
Zr (0.750, 0.750, 0.073)

=====

No. 3
Ba2AlHF5: computed powder X-ray diffraction pattern (Cu Ka), based on DFT lattice parameters and positions (GGA-PBE).
Neutral-atom scattering factors, no anomalous dispersion.

Largest 10 diffraction maxima, in order of rising 2θ, 15 to 90 degrees two-theta:
two_theta  I/Imax
20.53  25.0
21.63  66.4
30.00  100.0
30.78  34.6
37.29  80.4
41.76  19.1
44.09  32.7
47.50  18.7
54.25  35.9
62.34  20.9

Crystal structure
a b c (Å): 5.966 5.966 5.966
angles (deg): 121.73 121.73 87.03
Fractional coordinates of all 9 atoms:
Ba (0.000, 0.500, 0.500)
Ba (0.500, 0.000, 0.500)
Al (0.256, 0.256, 0.000)
H (0.453, 0.453, 0.000)
F (0.022, 0.022, 0.551)
F (0.022, 0.471, 0.000)
F (0.039, 0.039, 0.000)
F (0.471, 0.022, 0.000)
F (0.471, 0.471, 0.449)

=====

No. 4
K2MgSi2: computed powder X-ray diffraction pattern (Cu Ka), based on DFT lattice parameters and positions (GGA-PBE).
Neutral-atom scattering factors, no anomalous dispersion.

Largest 10 diffraction maxima, in order of rising 2θ, 15 to 90 degrees two-theta:
two_theta  I/Imax
29.24  69.1
31.69  100.0
33.13  37.1
38.46  20.4
44.11  11.5
50.86  11.3
51.64  16.3
58.27  15.2
62.05  11.7
66.71  12.1

Crystal structure
a b c (Å): 7.403 7.403 5.409
angles (deg): 90.00 90.00 90.00
Fractional coordinates of all 10 atoms:
K (0.186, 0.314, 0.000)
K (0.314, 0.814, 0.000)
K (0.686, 0.186, 0.000)
K (0.814, 0.686, 0.000)
Mg (0.000, 0.000, 0.500)
Mg (0.500, 0.500, 0.500)
Si (0.108, 0.608, 0.500)
Si (0.392, 0.108, 0.500)
Si (0.608, 0.892, 0.500)
Si (0.892, 0.392, 0.500)

=====

No. 5
Rb3HfNp3Te8: computed powder X-ray diffraction pattern (Cu Ka), based on DFT lattice parameters and positions (GGA-PBE).
Neutral-atom scattering factors, no anomalous dispersion.

Largest 10 diffraction maxima, in order of rising 2θ, 15 to 90 degrees two-theta:
two_theta  I/Imax
23.21  8.3
26.73  100.0
33.27  24.6
35.89  33.7
40.30  24.2
40.39  12.1
41.71  11.3
44.63  15.0
49.05  18.5
55.13  6.7

Crystal structure
a b c (Å): 8.932 8.947 10.148
angles (deg): 63.86 89.99 60.12
Fractional coordinates of all 15 atoms:
Rb (0.000, 0.000, 0.000)
Rb (0.000, 0.500, 0.000)
Rb (0.500, 0.000, 0.000)
Hf (0.000, 0.500, 0.500)
Np (0.000, 0.000, 0.500)
Np (0.500, 0.000, 0.500)
Np (0.500, 0.500, 0.500)
Te (0.220, 0.059, 0.691)
Te (0.221, 0.529, 0.692)
Te (0.249, 0.472, 0.308)
Te (0.265, 0.970, 0.297)
Te (0.735, 0.030, 0.703)
Te (0.751, 0.528, 0.692)
Te (0.779, 0.471, 0.308)
Te (0.780, 0.941, 0.309)

=====

No. 6
CaGe2Os: computed powder X-ray diffraction pattern (Cu Ka), based on DFT lattice parameters and positions (GGA-PBE).
Neutral-atom scattering factors, no anomalous dispersion.

Largest 10 diffraction maxima, in order of rising 2θ, 15 to 90 degrees two-theta:
two_theta  I/Imax
15.14  100.0
21.39  21.4
22.01  35.8
29.58  47.7
33.49  38.8
35.15  21.6
41.05  35.8
42.03  50.0
46.22  18.9
46.90  31.2

Crystal structure
a b c (Å): 7.143 4.397 10.214
angles (deg): 90.00 90.00 90.00
Fractional coordinates of all 16 atoms:
Ca (0.173, 0.250, 0.131)
Ca (0.327, 0.750, 0.631)
Ca (0.673, 0.250, 0.369)
Ca (0.827, 0.750, 0.869)
Ge (0.130, 0.250, 0.816)
Ge (0.195, 0.250, 0.426)
Ge (0.305, 0.750, 0.926)
Ge (0.370, 0.750, 0.316)
Ge (0.630, 0.250, 0.684)
Ge (0.695, 0.250, 0.074)
Ge (0.805, 0.750, 0.574)
Ge (0.870, 0.750, 0.184)
Os (0.027, 0.750, 0.392)
Os (0.473, 0.250, 0.892)
Os (0.527, 0.750, 0.108)
Os (0.973, 0.250, 0.608)

=====

No. 7
Sm4ErCd: computed powder X-ray diffraction pattern (Cu Ka), based on DFT lattice parameters and positions (GGA-PBE).
Neutral-atom scattering factors, no anomalous dispersion.

Largest 10 diffraction maxima, in order of rising 2θ, 15 to 90 degrees two-theta:
two_theta  I/Imax
31.03  100.0
34.99  38.2
37.89  12.5
50.32  13.6
52.52  19.4
60.30  29.9
64.20  8.0
64.68  10.3
82.30  6.2
85.77  7.3

Crystal structure
a b c (Å): 3.627 3.627 14.247
angles (deg): 90.00 90.00 90.00
Fractional coordinates of all 6 atoms:
Sm (0.000, 0.000, 0.148)
Sm (0.000, 0.000, 0.852)
Sm (0.500, 0.500, 0.325)
Sm (0.500, 0.500, 0.675)
Er (0.000, 0.000, 0.500)
Cd (0.500, 0.500, 0.000)

=====

No. 8
Th2Ga12Ru: computed powder X-ray diffraction pattern (Cu Ka), based on DFT lattice parameters and positions (GGA-PBE).
Neutral-atom scattering factors, no anomalous dispersion.

Largest 10 diffraction maxima, in order of rising 2θ, 15 to 90 degrees two-theta:
two_theta  I/Imax
20.50  27.7
29.15  17.7
30.81  75.2
31.36  100.0
37.29  44.5
40.39  34.3
41.25  28.1
41.70  63.3
52.73  43.0
68.15  22.1

Crystal structure
a b c (Å): 6.127 6.127 15.636
angles (deg): 90.00 90.00 90.00
Fractional coordinates of all 30 atoms:
Th (0.250, 0.750, 0.238)
Th (0.250, 0.750, 0.762)
Th (0.750, 0.250, 0.238)
Th (0.750, 0.250, 0.762)
Ga (0.000, 0.000, 0.086)
Ga (0.000, 0.000, 0.914)
Ga (0.000, 0.500, 0.086)
Ga (0.000, 0.500, 0.914)
Ga (0.082, 0.582, 0.431)
Ga (0.082, 0.918, 0.569)
Ga (0.250, 0.250, 0.190)
Ga (0.250, 0.250, 0.346)
Ga (0.250, 0.250, 0.654)
Ga (0.250, 0.250, 0.810)
Ga (0.418, 0.582, 0.569)
Ga (0.418, 0.918, 0.431)
Ga (0.500, 0.000, 0.086)
Ga (0.500, 0.000, 0.914)
Ga (0.500, 0.500, 0.086)
Ga (0.500, 0.500, 0.914)
Ga (0.582, 0.082, 0.569)
Ga (0.582, 0.418, 0.431)
Ga (0.750, 0.750, 0.190)
Ga (0.750, 0.750, 0.346)
Ga (0.750, 0.750, 0.654)
Ga (0.750, 0.750, 0.810)
Ga (0.918, 0.082, 0.431)
Ga (0.918, 0.418, 0.569)
Ru (0.250, 0.750, 0.000)
Ru (0.750, 0.250, 0.000)

=====

No. 9
PaI6Br2: computed powder X-ray diffraction pattern (Cu Ka), based on DFT lattice parameters and positions (GGA-PBE).
Neutral-atom scattering factors, no anomalous dispersion.

Largest 10 diffraction maxima, in order of rising 2θ, 15 to 90 degrees two-theta:
two_theta  I/Imax
20.81  49.2
23.21  44.4
23.98  42.0
24.40  100.0
30.09  46.0
32.00  47.2
34.19  40.8
34.84  35.0
40.98  46.0
43.36  44.0

Crystal structure
a b c (Å): 7.668 11.189 14.601
angles (deg): 90.00 120.52 90.00
Fractional coordinates of all 18 atoms:
Pa (0.000, 0.000, 0.000)
Pa (0.000, 0.500, 0.500)
I (0.002, 0.003, 0.784)
I (0.002, 0.497, 0.284)
I (0.309, 0.683, 0.581)
I (0.309, 0.817, 0.081)
I (0.314, 0.180, 0.085)
I (0.314, 0.320, 0.585)
I (0.686, 0.680, 0.415)
I (0.686, 0.820, 0.915)
I (0.691, 0.183, 0.919)
I (0.691, 0.317, 0.419)
I (0.998, 0.503, 0.716)
I (0.998, 0.997, 0.216)
Br (0.002, 0.247, 0.252)
Br (0.002, 0.253, 0.752)
Br (0.998, 0.747, 0.248)
Br (0.998, 0.753, 0.748)

=====

No. 10
Np2NbRh9: computed powder X-ray diffraction pattern (Cu Ka), based on DFT lattice parameters and positions (GGA-PBE).
Neutral-atom scattering factors, no anomalous dispersion.

Largest 10 diffraction maxima, in order of rising 2θ, 15 to 90 degrees two-theta:
two_theta  I/Imax
22.35  5.1
31.76  6.7
39.17  100.0
45.38  16.1
45.62  32.6
66.30  20.6
66.49  10.5
79.62  11.8
79.97  24.8
84.19  10.7

Crystal structure
a b c (Å): 3.977 3.977 11.992
angles (deg): 90.00 90.00 90.00
Fractional coordinates of all 12 atoms:
Np (0.000, 0.000, 0.168)
Np (0.000, 0.000, 0.832)
Nb (0.000, 0.000, 0.500)
Rh (0.000, 0.500, 0.000)
Rh (0.000, 0.500, 0.341)
Rh (0.000, 0.500, 0.659)
Rh (0.500, 0.000, 0.000)
Rh (0.500, 0.000, 0.341)
Rh (0.500, 0.000, 0.659)
Rh (0.500, 0.500, 0.172)
Rh (0.500, 0.500, 0.500)
Rh (0.500, 0.500, 0.828)